Si3Cl8: calculated PXRD pattern (CuKα), based on a GGA-PBE-relaxed structure.

Cell and atoms:
abc: 13.0626 13.0626 13.0626
angles: 60.00 60.00 60.00
Positions (direct):
Si (0.0000, 0.0000, 0.0000)
Si (0.0739, 0.0739, 0.0739)
Si (0.0739, 0.0739, 0.7782)
Si (0.0739, 0.7782, 0.0739)
Si (0.2500, 0.2500, 0.2500)
Si (0.2782, 0.5739, 0.5739)
Si (0.5000, 0.5000, 0.5000)
Si (0.5739, 0.2782, 0.5739)
Si (0.5739, 0.5739, 0.2782)
Si (0.5739, 0.5739, 0.5739)
Si (0.7500, 0.7500, 0.7500)
Si (0.7782, 0.0739, 0.0739)
Cl (0.0593, 0.3136, 0.3136)
Cl (0.0645, 0.2565, 0.7115)
Cl (0.0645, 0.7115, 0.9674)
Cl (0.0645, 0.9674, 0.2565)
Cl (0.2115, 0.4674, 0.7565)
Cl (0.2115, 0.5645, 0.4674)
Cl (0.2115, 0.7565, 0.5645)
Cl (0.2565, 0.0645, 0.9674)
Cl (0.2565, 0.7115, 0.0645)
Cl (0.2565, 0.9674, 0.7115)
Cl (0.3136, 0.0593, 0.3136)
Cl (0.3136, 0.3136, 0.0593)
Cl (0.3136, 0.3136, 0.3136)
Cl (0.4674, 0.2115, 0.5645)
Cl (0.4674, 0.5645, 0.7565)
Cl (0.4674, 0.7565, 0.2115)
Cl (0.5593, 0.8136, 0.8136)
Cl (0.5645, 0.2115, 0.7565)
Cl (0.5645, 0.4674, 0.2115)
Cl (0.5645, 0.7565, 0.4674)
Cl (0.7115, 0.0645, 0.2565)
Cl (0.7115, 0.2565, 0.9674)
Cl (0.7115, 0.9674, 0.0645)
Cl (0.7565, 0.2115, 0.4674)
Cl (0.7565, 0.4674, 0.5645)
Cl (0.7565, 0.5645, 0.2115)
Cl (0.8136, 0.5593, 0.8136)
Cl (0.8136, 0.8136, 0.5593)
Cl (0.8136, 0.8136, 0.8136)
Cl (0.9674, 0.0645, 0.7115)
Cl (0.9674, 0.2565, 0.0645)
Cl (0.9674, 0.7115, 0.2565)

Largest 10 diffraction maxima, by angle, 2θ from 15° to 90°:
| d_spacing | I (rel.) |
| --- | --- |
| 5.333 | 21 |
| 4.131 | 51 |
| 3.771 | 100 |
| 3.123 | 79 |
| 3.079 | 42 |
| 2.666 | 39 |
| 2.177 | 20 |
| 1.937 | 19 |
| 1.811 | 34 |
| 1.686 | 19 |